For Bi2O3, DFT lattice parameters and positions (GGA-PBE) gives the simulated powder diffractogram in this record (Cu Kα, 1.54184 Å).
Intensities are scaled so that the largest is 100.

Largest 8 diffraction maxima, sorted by position, 10° ≤ 2θ ≤ 90°:
hkl 1 1 0, 18.25°, rel. 14; hkl 1 1 1, 24.02°, rel. 19; hkl 1 2 1, 26.91°, rel. 100; hkl 0 4 0, 27.85°, rel. 29; hkl 0 0 2, 31.22°, rel. 17; hkl 0 4 2, 42.34°, rel. 13; hkl 2 4 0, 44.61°, rel. 14; hkl 1 6 1, 48.70°, rel. 24

Structural model:
Cell lengths 5.254, 12.812, 5.725 Å; angles 90.00, 90.00, 90.00 degrees
Space group Pccn (No. 56)
One atom of each set of equivalent atoms:
1 Bi 0.049 0.125 0.180 [8 per cell]
2 O 0.119 0.057 0.830 [8 per cell]
3 O 0.250 0.250 0.482 [4 per cell]

***

For Bi2O3, DFT lattice parameters and positions (GGA-PBE) gives the simulated powder diffractogram in this record (Cu Kα, 1.54184 Å).
Intensities are scaled so that the largest is 100.

Largest 8 diffraction maxima, sorted by position, 10° ≤ 2θ ≤ 90°:
hkl 0 0 2, 25.61°, rel. 18; hkl 1 1 -2, 26.81°, rel. 18; hkl 1 2 0, 27.03°, rel. 100; hkl 0 1 2, 27.82°, rel. 23; hkl 2 0 0, 32.63°, rel. 39; hkl 1 2 -2, 32.81°, rel. 16; hkl 2 0 -2, 32.98°, rel. 18; hkl 0 4 1, 45.75°, rel. 19

Structural model:
Cell lengths 5.933, 8.276, 7.528 Å; angles 90.00, 112.47, 90.00 degrees
Space group P2_1/c (No. 14)
One atom of each set of equivalent atoms:
1 Bi 0.024 0.183 0.366 [4 per cell]
2 Bi 0.460 0.541 0.723 [4 per cell]
3 O 0.231 0.533 0.988 [4 per cell]
4 O 0.263 0.550 0.377 [4 per cell]
5 O 0.278 0.202 0.206 [4 per cell]